[1]
Simulated PXRD pattern
Compound: MnO3F
Radiation: λ = 1.5418 Å (Cu Kα)
Structure: the PBE+U geometry in Alexandria
Intensities are scaled so that the largest is 100.

Top 8 peaks for 2θ from 10° to 90°, low angle first:
- 2θ = 20.66°, d 4.300, I 59
- 2θ = 22.28°, d 3.991, I 100
- 2θ = 22.40°, d 3.969, I 53
- 2θ = 22.64°, d 3.928, I 41
- 2θ = 26.62°, d 3.349, I 55
- 2θ = 34.09°, d 2.630, I 17
- 2θ = 34.74°, d 2.582, I 20
- 2θ = 35.06°, d 2.560, I 26

Cell and atoms:
```
data_MnO3F
_chemical_formula_sum 'Mn2 O6 F2'
_symmetry_space_group_name_H-M 'P 1'
_symmetry_Int_Tables_number 1
_symmetry_space_group_name_Hall 'P 1'
_cell_length_a 5.344
_cell_length_b 5.344
_cell_length_c 8.890
_cell_angle_alpha 113.94
_cell_angle_beta 113.94
_cell_angle_gamma 51.38
loop_
_atom_site_label
_atom_site_fract_x
_atom_site_fract_y
_atom_site_fract_z
_atom_site_occupancy
Mn1 0.240 0.760 0.500 1
Mn2 0.760 0.240 0.000 1
O1 0.056 0.156 0.159 1
O2 0.156 0.056 0.659 1
O3 0.552 0.658 0.453 1
O4 0.658 0.552 0.953 1
O5 0.865 0.937 0.845 1
O6 0.937 0.865 0.345 1
F1 0.321 0.431 0.548 1
F2 0.431 0.321 0.048 1
```



[2]
Simulated PXRD pattern
Compound: Mn3O4F2
Radiation: λ = 1.5418 Å (Cu Kα)
Structure: the PBE+U geometry in Alexandria
Intensities are scaled so that the largest is 100.

Top 8 peaks for 2θ from 10° to 90°, low angle first:
- 2θ = 27.29°, d 3.268, I 95
- 2θ = 27.45°, d 3.249, I 87
- 2θ = 35.00°, d 2.564, I 100
- 2θ = 53.37°, d 1.717, I 59
- 2θ = 53.56°, d 1.711, I 52
- 2θ = 59.96°, d 1.543, I 18
- 2θ = 67.13°, d 1.394, I 23
- 2θ = 68.20°, d 1.375, I 38

Cell and atoms:
```
data_Mn3O4F2
_chemical_formula_sum 'Mn6 O8 F4'
_symmetry_space_group_name_H-M 'P 1'
_symmetry_Int_Tables_number 1
_symmetry_space_group_name_Hall 'P 1'
_cell_length_a 10.280
_cell_length_b 10.280
_cell_length_c 3.085
_cell_angle_alpha 90.00
_cell_angle_beta 90.00
_cell_angle_gamma 142.92
loop_
_atom_site_label
_atom_site_fract_x
_atom_site_fract_y
_atom_site_fract_z
_atom_site_occupancy
Mn1 0.000 0.000 0.000 1
Mn2 0.160 0.840 0.500 1
Mn3 0.340 0.660 0.000 1
Mn4 0.500 0.500 0.500 1
Mn5 0.660 0.340 0.000 1
Mn6 0.840 0.160 0.500 1
O1 0.027 0.359 0.000 1
O2 0.063 0.937 0.500 1
O3 0.359 0.027 0.000 1
O4 0.401 0.599 0.500 1
O5 0.599 0.401 0.500 1
O6 0.641 0.973 0.000 1
O7 0.937 0.063 0.500 1
O8 0.973 0.641 0.000 1
F1 0.267 0.733 0.500 1
F2 0.308 0.308 0.000 1
F3 0.692 0.692 0.000 1
F4 0.733 0.267 0.500 1
```